1.
# Pa2SnBi2N2
Computed XRD peak list, Cu Kα X-rays. Input: a crystal structure in Alexandria, relaxed with GGA-PBE.
Peak positions follow from Bragg's law for the DFT cell and can differ from measured ones.

Crystal structure
```
data_Pa2SnBi2N2
_chemical_formula_sum 'Pa2 Sn1 Bi2 N2'
_symmetry_space_group_name_H-M 'P -3 m 1'
_symmetry_Int_Tables_number 164
_symmetry_space_group_name_Hall '-P 3 2"'
_cell_length_a 3.7938
_cell_length_b 3.7938
_cell_length_c 14.5924
_cell_angle_alpha 90.00
_cell_angle_beta 90.00
_cell_angle_gamma 120.00
loop_
_atom_site_label
_atom_site_fract_x
_atom_site_fract_y
_atom_site_fract_z
_atom_site_occupancy
Pa1 0.3333 0.6667 0.0995 1
Sn1 0.0000 0.0000 0.5000 1
Bi1 0.0000 0.0000 0.2795 1
N1 0.3333 0.6667 0.9412 1
```

Most intense lines, 2θ = 10–90°, most intense first:
2θ = 29.82°, d = 2.996 Å, rel. 100, (1 0 2); 2θ = 27.83°, d = 3.205 Å, rel. 99, (1 0 1); 2θ = 36.82°, d = 2.441 Å, rel. 98, (0 1 4); 2θ = 47.96°, d = 1.897 Å, rel. 58, (1 1 0); 2θ = 57.99°, d = 1.590 Å, rel. 54, (1 1 5); 2θ = 30.63°, d = 2.918 Å, rel. 53, (0 0 5); 2θ = 32.90°, d = 2.723 Å, rel. 47, (0 1 3); 2θ = 61.98°, d = 1.497 Å, rel. 33, (2 0 4); 2θ = 64.04°, d = 1.454 Å, rel. 27, (0 1 9); 2θ = 51.95°, d = 1.760 Å, rel. 25, (1 0 7)


2.
# Bi2PbN2
Computed XRD peak list, Cu Kα X-rays. Input: a crystal structure in Alexandria, relaxed with GGA-PBE.
Peak positions follow from Bragg's law for the DFT cell and can differ from measured ones.

Crystal structure
```
data_Bi2PbN2
_chemical_formula_sum 'Bi2 Pb1 N2'
_symmetry_space_group_name_H-M 'P -1'
_symmetry_Int_Tables_number 2
_symmetry_space_group_name_Hall '-P 1'
_cell_length_a 3.4496
_cell_length_b 5.3424
_cell_length_c 10.2046
_cell_angle_alpha 84.24
_cell_angle_beta 89.05
_cell_angle_gamma 89.63
loop_
_atom_site_label
_atom_site_fract_x
_atom_site_fract_y
_atom_site_fract_z
_atom_site_occupancy
Bi1 0.0074 0.0297 0.3515 1
Pb1 0.5000 0.5000 0.5000 1
N1 0.4983 0.6018 0.9816 1
```

Most intense lines, 2θ = 10–90°, most intense first:
2θ = 32.75°, d = 2.735 Å, rel. 100, (0 1 -3); 2θ = 30.97°, d = 2.887 Å, rel. 98, (1 -1 0); 2θ = 30.84°, d = 2.900 Å, rel. 97, (1 1 0); 2θ = 31.54°, d = 2.837 Å, rel. 88, (1 1 1); 2θ = 29.84°, d = 2.994 Å, rel. 76, (0 1 3); 2θ = 33.72°, d = 2.658 Å, rel. 69, (0 2 0); 2θ = 25.45°, d = 3.500 Å, rel. 68, (0 1 -2); 2θ = 34.00°, d = 2.637 Å, rel. 56, (0 2 1); 2θ = 37.71°, d = 2.385 Å, rel. 54, (0 1 4); 2θ = 31.88°, d = 2.807 Å, rel. 50, (-1 1 1)


3.
# Bi4PbN2
Computed XRD peak list, Cu Kα X-rays. Input: a crystal structure in Alexandria, relaxed with GGA-PBE.
Peak positions follow from Bragg's law for the DFT cell and can differ from measured ones.

Crystal structure
```
data_Bi4PbN2
_chemical_formula_sum 'Bi4 Pb1 N2'
_symmetry_space_group_name_H-M 'P -1'
_symmetry_Int_Tables_number 2
_symmetry_space_group_name_Hall '-P 1'
_cell_length_a 3.5203
_cell_length_b 3.5263
_cell_length_c 16.5746
_cell_angle_alpha 85.74
_cell_angle_beta 89.82
_cell_angle_gamma 60.08
loop_
_atom_site_label
_atom_site_fract_x
_atom_site_fract_y
_atom_site_fract_z
_atom_site_occupancy
Bi1 0.1534 0.2011 0.4010 1
Bi2 0.2304 0.0240 0.8128 1
Pb1 0.0000 0.5000 0.0000 1
N1 0.1942 0.1020 0.6692 1
```

Most intense lines, 2θ = 10–90°, most intense first:
2θ = 26.99°, d = 3.303 Å, rel. 100, (0 0 5); 2θ = 31.72°, d = 2.821 Å, rel. 98, (1 1 -2); 2θ = 32.99°, d = 2.715 Å, rel. 67, (1 1 3); 2θ = 29.32°, d = 3.047 Å, rel. 60, (1 0 0); 2θ = 32.38°, d = 2.765 Å, rel. 56, (0 1 3); 2θ = 51.91°, d = 1.762 Å, rel. 53, (2 1 0); 2θ = 32.17°, d = 2.783 Å, rel. 50, (0 1 -2); 2θ = 49.94°, d = 1.826 Å, rel. 20, (1 1 -7); 2θ = 49.78°, d = 1.832 Å, rel. 20, (1 0 7); 2θ = 51.34°, d = 1.780 Å, rel. 18, (0 1 8)


4.
# Pm4Bi2N
Computed XRD peak list, Cu Kα X-rays. Input: a crystal structure in Alexandria, relaxed with GGA-PBE.
Peak positions follow from Bragg's law for the DFT cell and can differ from measured ones.

Crystal structure
```
data_Pm4Bi2N
_chemical_formula_sum 'Pm8 Bi4 N2'
_symmetry_space_group_name_H-M 'C 1 2/m 1'
_symmetry_Int_Tables_number 12
_symmetry_space_group_name_Hall '-C 2y'
_cell_length_a 12.5973
_cell_length_b 3.9671
_cell_length_c 8.5481
_cell_angle_alpha 90.00
_cell_angle_beta 114.71
_cell_angle_gamma 90.00
loop_
_atom_site_label
_atom_site_fract_x
_atom_site_fract_y
_atom_site_fract_z
_atom_site_occupancy
Pm1 0.0529 0.0000 0.3140 1
Pm2 0.1403 0.5000 0.0505 1
Bi1 0.1613 0.5000 0.6741 1
N1 0.0000 0.0000 0.0000 1
```

Most intense lines, 2θ = 10–90°, most intense first:
2θ = 32.56°, d = 2.750 Å, rel. 100, (3 1 0); 2θ = 30.81°, d = 2.903 Å, rel. 78, (1 1 -2); 2θ = 27.81°, d = 3.208 Å, rel. 53, (1 1 1); 2θ = 34.66°, d = 2.588 Å, rel. 45, (0 0 3); 2θ = 55.65°, d = 1.652 Å, rel. 40, (3 1 3); 2θ = 30.07°, d = 2.972 Å, rel. 36, (4 0 -2); 2θ = 45.75°, d = 1.983 Å, rel. 30, (0 2 0); 2θ = 58.66°, d = 1.574 Å, rel. 28, (0 2 3); 2θ = 37.80°, d = 2.380 Å, rel. 26, (4 0 1); 2θ = 57.48°, d = 1.603 Å, rel. 25, (7 1 -3)


5.
# Pm4Bi3N
Computed XRD peak list, Cu Kα X-rays. Input: a crystal structure in Alexandria, relaxed with GGA-PBE.
Peak positions follow from Bragg's law for the DFT cell and can differ from measured ones.

Crystal structure
```
data_Pm4Bi3N
_chemical_formula_sum 'Pm8 Bi6 N2'
_symmetry_space_group_name_H-M 'P m n 21'
_symmetry_Int_Tables_number 31
_symmetry_space_group_name_Hall 'P 2ac -2'
_cell_length_a 10.0273
_cell_length_b 8.8300
_cell_length_c 6.4571
_cell_angle_alpha 90.00
_cell_angle_beta 90.00
_cell_angle_gamma 90.00
loop_
_atom_site_label
_atom_site_fract_x
_atom_site_fract_y
_atom_site_fract_z
_atom_site_occupancy
Pm1 0.0000 0.0903 0.0000 1
Pm2 0.0000 0.8188 0.5641 1
Pm3 0.2050 0.6969 0.0010 1
Bi1 0.0000 0.1620 0.4891 1
Bi2 0.2302 0.3387 0.9895 1
N1 0.0000 0.8222 0.9228 1
```

Most intense lines, 2θ = 10–90°, most intense first:
2θ = 20.37°, d = 4.360 Å, rel. 100, (2 1 0); 2θ = 27.63°, d = 3.229 Å, rel. 92, (0 0 2); 2θ = 34.61°, d = 2.592 Å, rel. 77, (2 1 2); 2θ = 35.36°, d = 2.538 Å, rel. 70, (2 3 0); 2θ = 45.45°, d = 1.995 Å, rel. 62, (2 3 2); 2θ = 20.11°, d = 4.415 Å, rel. 44, (0 2 0); 2θ = 35.82°, d = 2.507 Å, rel. 35, (4 0 0); 2θ = 30.11°, d = 2.968 Å, rel. 34, (3 0 1); 2θ = 45.83°, d = 1.980 Å, rel. 31, (4 0 2); 2θ = 36.48°, d = 2.463 Å, rel. 30, (3 2 1)


6.
# PmBiN
Computed XRD peak list, Cu Kα X-rays. Input: a crystal structure in Alexandria, relaxed with GGA-PBE.
Peak positions follow from Bragg's law for the DFT cell and can differ from measured ones.

Crystal structure
```
data_PmBiN
_chemical_formula_sum 'Pm2 Bi2 N2'
_symmetry_space_group_name_H-M 'I 4 m m'
_symmetry_Int_Tables_number 107
_symmetry_space_group_name_Hall 'I 4 -2'
_cell_length_a 3.5145
_cell_length_b 3.5145
_cell_length_c 12.1430
_cell_angle_alpha 90.00
_cell_angle_beta 90.00
_cell_angle_gamma 90.00
loop_
_atom_site_label
_atom_site_fract_x
_atom_site_fract_y
_atom_site_fract_z
_atom_site_occupancy
Pm1 0.0000 0.0000 0.0000 1
Bi1 0.0000 0.0000 0.3016 1
N1 0.0000 0.0000 0.5013 1
```

Most intense lines, 2θ = 10–90°, most intense first:
2θ = 33.78°, d = 2.654 Å, rel. 100, (1 0 3); 2θ = 26.40°, d = 3.376 Å, rel. 75, (1 0 1); 2θ = 36.14°, d = 2.485 Å, rel. 53, (1 1 0); 2θ = 63.49°, d = 1.465 Å, rel. 34, (2 1 3); 2θ = 47.27°, d = 1.923 Å, rel. 32, (1 1 4); 2θ = 29.42°, d = 3.036 Å, rel. 29, (0 0 4); 2θ = 14.59°, d = 6.072 Å, rel. 27, (0 0 2); 2θ = 59.42°, d = 1.556 Å, rel. 20, (1 0 7); 2θ = 52.04°, d = 1.757 Å, rel. 19, (2 0 0); 2θ = 58.85°, d = 1.569 Å, rel. 18, (1 1 6)


7.
# Pm2ZrBi2N2
Computed XRD peak list, Cu Kα X-rays. Input: a crystal structure in Alexandria, relaxed with GGA-PBE.
Peak positions follow from Bragg's law for the DFT cell and can differ from measured ones.

Crystal structure
```
data_Pm2ZrBi2N2
_chemical_formula_sum 'Pm4 Zr2 Bi4 N4'
_symmetry_space_group_name_H-M 'I 4/m m m'
_symmetry_Int_Tables_number 139
_symmetry_space_group_name_Hall '-I 4 2'
_cell_length_a 4.3048
_cell_length_b 4.3048
_cell_length_c 16.7982
_cell_angle_alpha 90.00
_cell_angle_beta 90.00
_cell_angle_gamma 90.00
loop_
_atom_site_label
_atom_site_fract_x
_atom_site_fract_y
_atom_site_fract_z
_atom_site_occupancy
Pm1 0.0000 0.0000 0.0962 1
Zr1 0.0000 0.0000 0.5000 1
Bi1 0.0000 0.0000 0.3077 1
N1 0.0000 0.5000 0.0000 1
```

Most intense lines, 2θ = 10–90°, most intense first:
2θ = 33.84°, d = 2.649 Å, rel. 100, (1 0 5); 2θ = 29.34°, d = 3.044 Å, rel. 70, (1 1 0); 2θ = 54.97°, d = 1.670 Å, rel. 51, (2 1 5); 2θ = 41.98°, d = 2.152 Å, rel. 31, (2 0 0); 2θ = 86.51°, d = 1.125 Å, rel. 15, (3 2 5); 2θ = 63.23°, d = 1.471 Å, rel. 14, (1 1 10); 2θ = 68.99°, d = 1.361 Å, rel. 13, (3 1 0); 2θ = 26.11°, d = 3.413 Å, rel. 12, (1 0 3); 2θ = 71.49°, d = 1.320 Å, rel. 12, (3 0 5); 2θ = 71.20°, d = 1.324 Å, rel. 11, (2 0 10)


8.
# Pr3BiN2
Computed XRD peak list, Cu Kα X-rays. Input: a crystal structure in Alexandria, relaxed with GGA-PBE.
Peak positions follow from Bragg's law for the DFT cell and can differ from measured ones.

Crystal structure
```
data_Pr3BiN2
_chemical_formula_sum 'Pr6 Bi2 N4'
_symmetry_space_group_name_H-M 'P m m n'
_symmetry_Int_Tables_number 59
_cell_length_a 4.3916
_cell_length_b 12.6826
_cell_length_c 5.2314
_cell_angle_alpha 90.00
_cell_angle_beta 90.00
_cell_angle_gamma 90.00
loop_
_symmetry_equiv_pos_as_xyz
'x,y,z'
'-x,-y,-z'
'-x+1/2,-y+1/2,z'
'x+1/2,y+1/2,-z'
'x+1/2,-y,-z'
'-x+1/2,y,z'
'-x,y+1/2,-z'
'x,-y+1/2,z'
loop_
_atom_site_label
_atom_site_fract_x
_atom_site_fract_y
_atom_site_fract_z
_atom_site_occupancy
Pr1 0.2500 0.0255 0.2480 1
Pr2 0.2500 0.2500 0.7665 1
Bi1 0.2500 0.7500 0.7153 1
N1 0.2500 0.0569 0.7982 1
```

Most intense lines, 2θ = 10–90°, most intense first:
2θ = 30.07°, d = 2.971 Å, rel. 100, (1 2 1); 2θ = 28.14°, d = 3.171 Å, rel. 28, (0 4 0); 2θ = 34.28°, d = 2.616 Å, rel. 20, (0 0 2); 2θ = 51.03°, d = 1.790 Å, rel. 18, (1 6 1); 2θ = 41.11°, d = 2.196 Å, rel. 15, (2 0 0); 2θ = 44.92°, d = 2.018 Å, rel. 15, (0 4 2); 2θ = 58.81°, d = 1.570 Å, rel. 13, (1 2 3); 2θ = 54.57°, d = 1.682 Å, rel. 13, (2 0 2); 2θ = 50.56°, d = 1.805 Å, rel. 11, (2 4 0); 2θ = 62.52°, d = 1.486 Å, rel. 11, (2 4 2)


9.
# PrBiN
Computed XRD peak list, Cu Kα X-rays. Input: a crystal structure in Alexandria, relaxed with GGA-PBE.
Peak positions follow from Bragg's law for the DFT cell and can differ from measured ones.

Crystal structure
```
data_PrBiN
_chemical_formula_sum 'Pr2 Bi2 N2'
_symmetry_space_group_name_H-M 'P 4/n m m'
_symmetry_Int_Tables_number 129
_cell_length_a 4.3036
_cell_length_b 4.3036
_cell_length_c 8.3276
_cell_angle_alpha 90.00
_cell_angle_beta 90.00
_cell_angle_gamma 90.00
loop_
_symmetry_equiv_pos_as_xyz
'x,y,z'
'-x,-y,-z'
'-y+1/2,x,z'
'y+1/2,-x,-z'
'-x+1/2,-y+1/2,z'
'x+1/2,y+1/2,-z'
'y,-x+1/2,z'
'-y,x+1/2,-z'
'x+1/2,-y,-z'
'-x+1/2,y,z'
'-y,-x,-z'
'y,x,z'
'-x,y+1/2,-z'
'x,-y+1/2,z'
'y+1/2,x+1/2,-z'
'-y+1/2,-x+1/2,z'
loop_
_atom_site_label
_atom_site_fract_x
_atom_site_fract_y
_atom_site_fract_z
_atom_site_occupancy
Pr1 0.2500 0.2500 0.1238 1
Bi1 0.2500 0.2500 0.5720 1
N1 0.2500 0.7500 0.0000 1
```

Most intense lines, 2θ = 10–90°, most intense first:
2θ = 29.86°, d = 2.992 Å, rel. 100, (1 0 2); 2θ = 29.35°, d = 3.043 Å, rel. 63, (1 1 0); 2θ = 52.37°, d = 1.747 Å, rel. 43, (2 1 2); 2θ = 41.99°, d = 2.152 Å, rel. 28, (2 0 0); 2θ = 21.34°, d = 4.164 Å, rel. 13, (0 0 2); 2θ = 48.58°, d = 1.874 Å, rel. 12, (1 0 4); 2θ = 84.43°, d = 1.147 Å, rel. 12, (3 2 2); 2θ = 69.01°, d = 1.361 Å, rel. 12, (3 1 0); 2θ = 10.62°, d = 8.328 Å, rel. 12, (0 0 1); 2θ = 75.49°, d = 1.259 Å, rel. 10, (2 1 5)


10.
# Pr3BiTeN
Computed XRD peak list, Cu Kα X-rays. Input: a crystal structure in Alexandria, relaxed with GGA-PBE.
Peak positions follow from Bragg's law for the DFT cell and can differ from measured ones.

Crystal structure
```
data_Pr3BiTeN
_chemical_formula_sum 'Pr6 Bi2 Te2 N2'
_symmetry_space_group_name_H-M 'P 1 21/m 1'
_symmetry_Int_Tables_number 11
_symmetry_space_group_name_Hall '-P 2yb'
_cell_length_a 9.5001
_cell_length_b 4.3673
_cell_length_c 9.6648
_cell_angle_alpha 90.00
_cell_angle_beta 96.64
_cell_angle_gamma 90.00
loop_
_atom_site_label
_atom_site_fract_x
_atom_site_fract_y
_atom_site_fract_z
_atom_site_occupancy
Pr1 0.1060 0.2500 0.3306 1
Pr2 0.1472 0.7500 0.0015 1
Pr3 0.3903 0.7500 0.6424 1
Bi1 0.1591 0.2500 0.7009 1
Te1 0.3601 0.7500 0.3141 1
N1 0.0869 0.2500 0.0926 1
```

Most intense lines, 2θ = 10–90°, most intense first:
2θ = 27.86°, d = 3.202 Å, rel. 100, (0 0 3); 2θ = 28.66°, d = 3.114 Å, rel. 60, (2 1 -1); 2θ = 38.16°, d = 2.358 Å, rel. 45, (4 0 0); 2θ = 34.86°, d = 2.574 Å, rel. 42, (2 1 2); 2θ = 41.37°, d = 2.183 Å, rel. 32, (0 2 0); 2θ = 50.62°, d = 1.803 Å, rel. 26, (0 2 3); 2θ = 57.54°, d = 1.602 Å, rel. 20, (4 2 0); 2θ = 32.35°, d = 2.768 Å, rel. 19, (2 1 -2); 2θ = 13.90°, d = 6.372 Å, rel. 17, (1 0 1); 2θ = 62.47°, d = 1.487 Å, rel. 14, (6 1 -1)


11.
# BiPtN2
Computed XRD peak list, Cu Kα X-rays. Input: a crystal structure in Alexandria, relaxed with GGA-PBE.
Peak positions follow from Bragg's law for the DFT cell and can differ from measured ones.

Crystal structure
```
data_BiPtN2
_chemical_formula_sum 'Bi2 Pt2 N4'
_symmetry_space_group_name_H-M 'P -1'
_symmetry_Int_Tables_number 2
_symmetry_space_group_name_Hall '-P 1'
_cell_length_a 3.9117
_cell_length_b 3.9123
_cell_length_c 15.7760
_cell_angle_alpha 88.72
_cell_angle_beta 89.48
_cell_angle_gamma 89.99
loop_
_atom_site_label
_atom_site_fract_x
_atom_site_fract_y
_atom_site_fract_z
_atom_site_occupancy
Bi1 0.0048 0.0116 0.3720 1
Pt1 0.0000 0.5000 0.5000 1
Pt2 0.5000 0.0000 0.5000 1
N1 0.2526 0.2406 0.0822 1
N2 0.3808 0.3756 0.1346 1
```

Most intense lines, 2θ = 10–90°, most intense first:
2θ = 11.22°, d = 7.886 Å, rel. 100, (0 0 2); 2θ = 22.73°, d = 3.911 Å, rel. 43, (0 1 0); 2θ = 40.00°, d = 2.254 Å, rel. 40, (1 -1 4); 2θ = 23.34°, d = 3.811 Å, rel. 32, (0 1 1); 2θ = 46.43°, d = 1.956 Å, rel. 26, (2 0 0); 2θ = 46.71°, d = 1.945 Å, rel. 24, (0 2 1); 2θ = 39.63°, d = 2.274 Å, rel. 24, (-1 1 4); 2θ = 36.38°, d = 2.470 Å, rel. 23, (1 1 3); 2θ = 37.06°, d = 2.426 Å, rel. 23, (1 1 -3); 2θ = 36.85°, d = 2.439 Å, rel. 22, (1 -1 3)


12.
# Pu6Bi2N
Computed XRD peak list, Cu Kα X-rays. Input: a crystal structure in Alexandria, relaxed with GGA-PBE.
Peak positions follow from Bragg's law for the DFT cell and can differ from measured ones.

Crystal structure
```
data_Pu6Bi2N
_chemical_formula_sum 'Pu12 Bi4 N2'
_symmetry_space_group_name_H-M 'I 4/m m m'
_symmetry_Int_Tables_number 139
_symmetry_space_group_name_Hall '-I 4 2'
_cell_length_a 6.9445
_cell_length_b 6.9445
_cell_length_c 9.7472
_cell_angle_alpha 90.00
_cell_angle_beta 90.00
_cell_angle_gamma 90.00
loop_
_atom_site_label
_atom_site_fract_x
_atom_site_fract_y
_atom_site_fract_z
_atom_site_occupancy
Pu1 0.0000 0.0000 0.2487 1
Pu2 0.2469 0.2469 0.0000 1
Bi1 0.0000 0.5000 0.2500 1
N1 0.0000 0.0000 0.0000 1
```

Most intense lines, 2θ = 10–90°, most intense first:
2θ = 31.64°, d = 2.828 Å, rel. 100, (2 0 2); 2θ = 36.60°, d = 2.455 Å, rel. 35, (2 2 0); 2θ = 62.81°, d = 1.480 Å, rel. 30, (4 2 2); 2θ = 52.94°, d = 1.730 Å, rel. 25, (2 2 4); 2θ = 36.89°, d = 2.437 Å, rel. 17, (0 0 4); 2θ = 63.19°, d = 1.471 Å, rel. 15, (2 0 6); 2θ = 66.08°, d = 1.414 Å, rel. 13, (4 0 4); 2θ = 86.75°, d = 1.123 Å, rel. 13, (4 2 6); 2θ = 52.72°, d = 1.736 Å, rel. 13, (4 0 0); 2θ = 86.41°, d = 1.126 Å, rel. 6, (6 0 2)


13.
# Pu3Bi2N
Computed XRD peak list, Cu Kα X-rays. Input: a crystal structure in Alexandria, relaxed with GGA-PBE.
Peak positions follow from Bragg's law for the DFT cell and can differ from measured ones.

Crystal structure
```
data_Pu3Bi2N
_chemical_formula_sum 'Pu12 Bi8 N4'
_symmetry_space_group_name_H-M 'C m c m'
_symmetry_Int_Tables_number 63
_symmetry_space_group_name_Hall '-C 2c 2'
_cell_length_a 11.4082
_cell_length_b 8.9534
_cell_length_c 6.1717
_cell_angle_alpha 90.00
_cell_angle_beta 90.00
_cell_angle_gamma 90.00
loop_
_atom_site_label
_atom_site_fract_x
_atom_site_fract_y
_atom_site_fract_z
_atom_site_occupancy
Pu1 0.0000 0.1660 0.2500 1
Pu2 0.1469 0.5000 0.0000 1
Bi1 0.1410 0.1775 0.7500 1
N1 0.0000 0.4199 0.2500 1
```

Most intense lines, 2θ = 10–90°, most intense first:
2θ = 29.34°, d = 3.045 Å, rel. 100, (3 1 1); 2θ = 30.97°, d = 2.887 Å, rel. 90, (1 3 0); 2θ = 35.33°, d = 2.541 Å, rel. 74, (0 2 2); 2θ = 31.66°, d = 2.826 Å, rel. 72, (1 1 2); 2θ = 38.91°, d = 2.315 Å, rel. 40, (3 1 2); 2θ = 40.24°, d = 2.241 Å, rel. 39, (4 2 1); 2θ = 25.45°, d = 3.500 Å, rel. 35, (3 1 0); 2θ = 38.34°, d = 2.348 Å, rel. 27, (3 3 0); 2θ = 51.51°, d = 1.774 Å, rel. 27, (3 1 3); 2θ = 47.95°, d = 1.897 Å, rel. 25, (4 2 2)


14.
# PuUBiN2
Computed XRD peak list, Cu Kα X-rays. Input: a crystal structure in Alexandria, relaxed with GGA-PBE.
Peak positions follow from Bragg's law for the DFT cell and can differ from measured ones.

Crystal structure
```
data_PuUBiN2
_chemical_formula_sum 'Pu2 U2 Bi2 N4'
_symmetry_space_group_name_H-M 'I 4 m m'
_symmetry_Int_Tables_number 107
_symmetry_space_group_name_Hall 'I 4 -2'
_cell_length_a 3.8989
_cell_length_b 3.8989
_cell_length_c 12.8868
_cell_angle_alpha 90.00
_cell_angle_beta 90.00
_cell_angle_gamma 90.00
loop_
_atom_site_label
_atom_site_fract_x
_atom_site_fract_y
_atom_site_fract_z
_atom_site_occupancy
Pu1 0.0000 0.0000 0.0000 1
U1 0.0000 0.0000 0.3278 1
Bi1 0.0000 0.0000 0.6630 1
N1 0.0000 0.5000 0.4044 1
```

Most intense lines, 2θ = 10–90°, most intense first:
2θ = 30.98°, d = 2.887 Å, rel. 100, (1 0 3); 2θ = 32.48°, d = 2.757 Å, rel. 41, (1 1 0); 2θ = 57.00°, d = 1.616 Å, rel. 37, (2 1 3); 2θ = 54.13°, d = 1.694 Å, rel. 23, (1 1 6); 2θ = 46.59°, d = 1.949 Å, rel. 18, (2 0 0); 2θ = 64.56°, d = 1.444 Å, rel. 12, (2 0 6); 2θ = 88.32°, d = 1.107 Å, rel. 12, (2 1 9); 2θ = 42.07°, d = 2.148 Å, rel. 10, (0 0 6); 2θ = 70.00°, d = 1.344 Å, rel. 10, (1 0 9); 2θ = 76.59°, d = 1.244 Å, rel. 8, (3 0 3)